(1)
Computed X-ray diffraction stick pattern
Compound: AcAl4S8
Radiation: Cu Kα X-rays
Structure: DFT lattice parameters and positions (GGA-PBE)
Lines closer than 0.1° are merged.

Top 8 peaks for 2θ from 5° to 70°, by angle:
d_spacing  2theta  I_rel
6.096  14.53  570
5.279  16.79  580
3.733  23.84  650
3.183  28.03  1000
2.422  37.12  411
2.361  38.12  346
2.032  44.60  577
1.866  48.79  471

abc: 7.465 7.465 7.465
angles: 60.00 60.00 60.00
Atoms (fractional coordinates):
Ac1 0.000 0.000 0.000
Al1 0.152 0.616 0.616
Al2 0.616 0.152 0.616
Al3 0.616 0.616 0.152
Al4 0.616 0.616 0.616
S1 0.386 0.386 0.386
S2 0.386 0.386 0.841
S3 0.386 0.841 0.386
S4 0.446 0.851 0.851
S5 0.841 0.386 0.386
S6 0.851 0.446 0.851
S7 0.851 0.851 0.446
S8 0.851 0.851 0.851

---

(2)
Computed X-ray diffraction stick pattern
Compound: Ac2AlSi3
Radiation: Cu Kα X-rays
Structure: DFT lattice parameters and positions (GGA-PBE)
Lines closer than 0.1° are merged.

Top 8 peaks for 2θ from 5° to 70°, by angle:
d_spacing  2theta  I_rel
4.313  20.59  287
4.286  20.73  309
3.605  24.69  248
3.293  27.08  306
3.281  27.18  236
2.913  30.69  1000
2.428  37.02  361
1.917  47.43  226

abc: 4.488 4.520 14.421
angles: 90.00 90.00 90.00
Atoms (fractional coordinates):
Ac1 0.000 0.000 0.000
Ac2 0.000 0.500 0.243
Ac3 0.500 0.000 0.743
Ac4 0.500 0.500 0.500
Al1 0.000 0.000 0.413
Al2 0.500 0.500 0.913
Si1 0.000 0.000 0.584
Si2 0.000 0.500 0.662
Si3 0.000 0.500 0.828
Si4 0.500 0.000 0.162
Si5 0.500 0.000 0.328
Si6 0.500 0.500 0.084

---

(3)
Computed X-ray diffraction stick pattern
Compound: Ac3AlSi
Radiation: Cu Kα X-rays
Structure: DFT lattice parameters and positions (GGA-PBE)
Lines closer than 0.1° are merged.

Top 8 peaks for 2θ from 5° to 70°, by angle:
d_spacing  2theta  I_rel
3.892  22.85  451
3.814  23.32  512
3.252  27.43  1000
3.188  27.99  725
3.125  28.57  797
3.025  29.53  633
2.463  36.49  376
1.943  46.75  387

abc: 4.356 8.683 9.194
angles: 87.26 89.97 75.56
Atoms (fractional coordinates):
Ac1 0.048 0.404 0.172
Ac2 0.239 0.022 0.827
Ac3 0.404 0.690 0.412
Ac4 0.596 0.310 0.588
Ac5 0.761 0.978 0.173
Ac6 0.952 0.596 0.828
Al1 0.213 0.074 0.438
Al2 0.787 0.926 0.562
Si1 0.392 0.715 0.066
Si2 0.608 0.285 0.934